For Cu2Te2AuF2, a PBE-relaxed structure gives the computed powder XRD pattern in this record (a wavelength of 1.5418 Å).

Crystal structure
```
data_Cu2Te2AuF2
_chemical_formula_sum 'Cu2 Te2 Au1 F2'
_symmetry_space_group_name_H-M 'P 1'
_symmetry_Int_Tables_number 1
_cell_length_a 3.5270
_cell_length_b 3.5270
_cell_length_c 9.6521
_cell_angle_alpha 90.00
_cell_angle_beta 90.00
_cell_angle_gamma 90.00
loop_
_symmetry_equiv_pos_as_xyz
'x,y,z'
loop_
_atom_site_label
_atom_site_fract_x
_atom_site_fract_y
_atom_site_fract_z
_atom_site_occupancy
Cu1 0.0000 0.5000 0.1306 1
Cu2 0.5000 0.0000 0.8694 1
Te1 0.0000 0.5000 0.7221 1
Te2 0.5000 0.0000 0.2779 1
Au1 0.0000 0.0000 0.5000 1
F1 0.0000 0.0000 0.0000 1
F2 0.5000 0.5000 0.0000 1
```

Most intense lines, 2θ from 15° to 90°, in order of falling intensity:
2θ (°)	I/Imax
40.7	100
31.4	79
26.9	77
37.9	69
51.8	41
37.2	37
25.3	30
66.0	27
45.5	23
61.9	22